This entry pairs a crystal structure of AcLa2DyHo with its simulated powder diffractogram. Radiation: Cu Ka. Structure: a structure optimized by DFT (PBE).

Most intense lines, 10 to 90 degrees two-theta, most intense first:
2.802 Å, rel. 100
3.190 Å, rel. 59
3.477 Å, rel. 57
3.294 Å, rel. 54
2.064 Å, rel. 51
3.054 Å, rel. 39
2.350 Å, rel. 30
4.229 Å, rel. 26
2.619 Å, rel. 24
2.828 Å, rel. 22

Crystal structure
```
AcLa2DyHo
1.0
4.229 -6.108 0.000
4.229 6.108 0.000
0.000 0.000 7.481
Ac La Dy Ho
2 4 2 2
Direct
0.241 0.759 0.750
0.759 0.241 0.250
0.302 0.302 0.000
0.302 0.302 0.500
0.698 0.698 0.000
0.698 0.698 0.500
0.047 0.953 0.250
0.953 0.047 0.750
0.301 0.699 0.250
0.699 0.301 0.750
```

This entry pairs a crystal structure of Ba3ZnIn2 with its simulated powder diffractogram. Radiation: Cu Ka. Structure: a structure optimized by DFT (PBE).

Most intense lines, 10 to 90 degrees two-theta, most intense first:
2.989 Å, rel. 100
2.977 Å, rel. 49
1.721 Å, rel. 36
1.728 Å, rel. 19
2.105 Å, rel. 17
1.332 Å, rel. 14
1.494 Å, rel. 11
1.131 Å, rel. 10
2.122 Å, rel. 10
1.128 Å, rel. 9

Crystal structure
```
Ba3ZnIn2
1.0
2.977 -8.932 0.000
2.977 8.932 0.000
0.000 0.000 4.244
Ba Zn In
3 1 2
Direct
0.000 0.000 0.000
0.341 0.659 0.000
0.659 0.341 0.000
0.500 0.500 0.500
0.175 0.825 0.500
0.825 0.175 0.500
```

This entry pairs a crystal structure of LaPr2Dy4 with its simulated powder diffractogram. Radiation: Cu Ka. Structure: a structure optimized by DFT (PBE).

Most intense lines, 10 to 90 degrees two-theta, most intense first:
2.811 Å, rel. 100
2.844 Å, rel. 50
2.625 Å, rel. 22
2.970 Å, rel. 19
2.875 Å, rel. 18
1.917 Å, rel. 15
1.616 Å, rel. 13
2.720 Å, rel. 13
3.891 Å, rel. 10
1.555 Å, rel. 9

Crystal structure
```
LaPr2Dy4
1.0
6.952 0.000 0.000
2.008 6.765 0.000
0.001 0.000 10.502
La Pr Dy
2 4 8
Direct
0.000 0.000 0.000
0.500 0.000 0.000
0.000 0.000 0.500
0.000 0.500 0.000
0.000 0.500 0.500
0.500 0.500 0.500
0.269 0.689 0.779
0.270 0.189 0.717
0.270 0.689 0.220
0.272 0.189 0.283
0.728 0.811 0.717
0.730 0.311 0.780
0.730 0.811 0.283
0.731 0.311 0.221
```

This entry pairs a crystal structure of CaCuAg4 with its simulated powder diffractogram. Radiation: Cu Ka. Structure: a structure optimized by DFT (PBE).

Most intense lines, 10 to 90 degrees two-theta, most intense first:
2.371 Å, rel. 100
2.270 Å, rel. 64
4.540 Å, rel. 42
1.513 Å, rel. 30
1.390 Å, rel. 29
1.185 Å, rel. 22
1.966 Å, rel. 17
2.780 Å, rel. 11
1.199 Å, rel. 10
1.804 Å, rel. 10

Crystal structure
```
CaCuAg4
1.0
0.000 3.932 3.932
3.932 0.000 3.932
3.932 3.932 0.000
Ca Cu Ag
1 1 4
Direct
0.000 0.000 0.000
0.750 0.750 0.750
0.375 0.375 0.375
0.375 0.375 0.874
0.375 0.874 0.375
0.874 0.375 0.375
```

This entry pairs a crystal structure of Rb2NbCuTe4 with its simulated powder diffractogram. Radiation: Cu Ka. Structure: a structure optimized by DFT (PBE).

Most intense lines, 10 to 90 degrees two-theta, most intense first:
3.560 Å, rel. 100
3.142 Å, rel. 66
2.512 Å, rel. 36
6.586 Å, rel. 32
3.842 Å, rel. 31
1.942 Å, rel. 27
3.343 Å, rel. 27
6.686 Å, rel. 26
2.008 Å, rel. 26
2.334 Å, rel. 21

Crystal structure
```
Rb2NbCuTe4
1.0
0.000 7.567 13.372
3.041 0.000 13.372
3.041 7.567 0.000
Rb Nb Cu Te
4 2 2 8
Direct
0.058 0.058 0.692
0.308 0.308 0.942
0.692 0.692 0.058
0.942 0.942 0.308
0.375 0.375 0.375
0.625 0.625 0.625
0.125 0.125 0.125
0.875 0.875 0.875
0.034 0.331 0.416
0.281 0.584 0.669
0.331 0.034 0.719
0.416 0.719 0.034
0.584 0.281 0.966
0.669 0.966 0.281
0.719 0.416 0.331
0.966 0.669 0.584
```

This entry pairs a crystal structure of K2CuIF6 with its simulated powder diffractogram. Radiation: Cu Ka. Structure: a structure optimized by DFT (PBE).

Most intense lines, 10 to 90 degrees two-theta, most intense first:
3.257 Å, rel. 100
3.123 Å, rel. 87
3.240 Å, rel. 53
4.972 Å, rel. 52
3.426 Å, rel. 51
4.511 Å, rel. 48
2.255 Å, rel. 38
2.897 Å, rel. 35
4.150 Å, rel. 30
2.486 Å, rel. 26

Crystal structure
```
K2CuIF6
1.0
5.825 0.000 0.000
-2.337 5.943 0.000
-0.547 -3.549 5.420
K Cu I F
2 1 1 6
Direct
0.224 0.448 0.239
0.776 0.552 0.761
0.500 0.000 0.000
0.000 0.000 0.500
0.238 0.977 0.142
0.289 0.658 0.728
0.344 0.210 0.790
0.656 0.790 0.210
0.711 0.342 0.272
0.762 0.023 0.858
```

This entry pairs a crystal structure of LiTlPb with its simulated powder diffractogram. Radiation: Cu Ka. Structure: a structure optimized by DFT (PBE).

Most intense lines, 10 to 90 degrees two-theta, most intense first:
2.683 Å, rel. 100
2.480 Å, rel. 52
1.468 Å, rel. 33
3.508 Å, rel. 30
3.058 Å, rel. 30
3.377 Å, rel. 28
1.942 Å, rel. 24
1.590 Å, rel. 24
3.122 Å, rel. 22
1.754 Å, rel. 19

Crystal structure
```
LiTlPb
1.0
3.508 0.000 0.000
0.000 3.508 0.000
0.000 0.000 12.490
Li Tl Pb
2 2 2
Direct
0.000 0.000 0.000
0.000 0.000 0.288
0.000 0.000 0.641
0.500 0.500 0.439
0.500 0.500 0.143
0.500 0.500 0.847
```

This entry pairs a crystal structure of Rb2HfICl6 with its simulated powder diffractogram. Radiation: Cu Ka. Structure: a structure optimized by DFT (PBE).

Most intense lines, 10 to 90 degrees two-theta, most intense first:
4.194 Å, rel. 100
2.895 Å, rel. 48
4.095 Å, rel. 46
2.383 Å, rel. 40
2.097 Å, rel. 32
5.791 Å, rel. 27
3.041 Å, rel. 26
6.794 Å, rel. 20
2.442 Å, rel. 19
1.914 Å, rel. 16

Crystal structure
```
Rb2HfICl6
1.0
-4.095 4.095 6.083
4.095 -4.095 6.083
4.095 4.095 -6.083
Rb Hf I Cl
2 1 1 6
Direct
0.250 0.750 0.500
0.750 0.250 0.500
0.000 0.000 0.000
0.500 0.500 0.000
0.202 0.202 0.000
0.212 0.212 0.425
0.212 0.788 0.000
0.788 0.212 0.000
0.788 0.788 0.575
0.798 0.798 0.000
```